[1]
Theoretical powder XRD pattern of NaCuF6 for λ = 1.5418 Å (Cu Kα), from a GGA-PBE-relaxed structure.

Most intense lines, 15° ≤ 2θ ≤ 90°, most intense first:
d_spacing  2θ/deg  I/Imax
4.387  20.24  100
2.893  30.91  13
2.917  30.64  11
2.083  43.45  11
2.153  41.97  10
4.095  21.70  10
1.617  56.94  8
4.122  21.56  7
2.433  36.94  7
2.596  34.55  7
3.345  26.65  7
1.853  49.16  6

a = 5.309 Å, b = 5.309 Å, c = 8.190 Å
α = 90.38°, β = 90.38°, γ = 78.12°
Sites, in units of the cell vectors:
Na 0.013 0.987 0.750
Na 0.987 0.013 0.250
Cu 0.000 0.500 0.000
Cu 0.500 0.000 0.500
F 0.147 0.565 0.190
F 0.173 0.183 0.499
F 0.183 0.173 0.999
F 0.245 0.612 0.887
F 0.388 0.755 0.613
F 0.435 0.853 0.310
F 0.565 0.147 0.690
F 0.612 0.245 0.387
F 0.755 0.388 0.113
F 0.817 0.827 0.001
F 0.827 0.817 0.501
F 0.853 0.435 0.810

---

[2]
Theoretical powder XRD pattern of AcTb2NdSb4 for λ = 1.5418 Å (Cu Kα), from a GGA-PBE-relaxed structure.

Most intense lines, 15° ≤ 2θ ≤ 90°, most intense first:
d_spacing  2θ/deg  I/Imax
3.208  27.81  100
2.268  39.74  77
1.435  65.01  35
1.852  49.20  27
1.310  72.12  24
1.604  57.46  13
1.134  85.62  6
3.704  24.03  5
1.934  46.98  3
1.133  85.71  3
1.308  72.21  2
2.943  30.37  2

a = 7.850 Å, b = 4.539 Å, c = 7.861 Å
α = 90.00°, β = 109.46°, γ = 90.00°
Sites, in units of the cell vectors:
Ac 0.000 0.000 0.000
Tb 0.500 0.000 0.500
Tb 0.500 0.500 0.000
Nd 0.000 0.500 0.500
Sb 0.263 0.000 0.748
Sb 0.268 0.500 0.262
Sb 0.732 0.500 0.738
Sb 0.737 0.000 0.252